Diffraction record for Cr4FeRe4. The powder diffractogram is theoretical, not measured: it uses DFT lattice parameters and positions (PBE) and Cu Kα, 1.54184 Å.
Kinematic intensities with the Lorentz-polarization factor, no thermal factor.

Peak list (6 most intense, 5 to 70 degrees two-theta, most intense first)
d 6.849, I 100
d 2.284, I 91
d 2.123, I 72
d 2.164, I 52
d 2.306, I 41
d 2.799, I 39

Structure:
a = 4.2532 Å, b = 4.2532 Å, c = 7.2927 Å
α = 103.78°, β = 103.78°, γ = 92.26°
Fractional coordinates of all 9 atoms:
Cr 0.0000 0.0000 0.0000
Cr 0.1392 0.5299 0.2285
Cr 0.5299 0.1392 0.2285
Cr 0.5368 0.5368 0.0434
Fe 0.9973 0.9973 0.3102
Re 0.3495 0.3495 0.5812
Re 0.4138 0.9382 0.8055
Re 0.8044 0.8044 0.5568
Re 0.9382 0.4138 0.8055



Diffraction record for Mg8CdPd2. The powder diffractogram is theoretical, not measured: it uses DFT lattice parameters and positions (PBE) and Cu Kα, 1.54184 Å.
Kinematic intensities with the Lorentz-polarization factor, no thermal factor.

Peak list (6 most intense, 5 to 70 degrees two-theta, most intense first)
d 3.541, I 100
d 3.937, I 94
d 3.778, I 94
d 2.121, I 79
d 2.189, I 73
d 4.357, I 72

Structure:
a = 7.1960 Å, b = 7.1960 Å, c = 5.0351 Å
α = 97.67°, β = 97.67°, γ = 111.44°
Fractional coordinates of all 11 atoms:
Mg 0.1205 0.1205 0.8115
Mg 0.1768 0.4374 0.4160
Mg 0.2504 0.7496 0.0000
Mg 0.4374 0.1768 0.4160
Mg 0.5626 0.8232 0.5840
Mg 0.7496 0.2504 0.0000
Mg 0.8232 0.5626 0.5840
Mg 0.8795 0.8795 0.1885
Cd 0.5000 0.5000 0.0000
Pd 0.1812 0.8188 0.5000
Pd 0.8188 0.1812 0.5000



Diffraction record for AgPbC2O6. The powder diffractogram is theoretical, not measured: it uses DFT lattice parameters and positions (PBE) and Cu Kα, 1.54184 Å.
Kinematic intensities with the Lorentz-polarization factor, no thermal factor.

Peak list (6 most intense, 5 to 70 degrees two-theta, most intense first)
d 3.078, I 100
d 3.906, I 86
d 3.343, I 79
d 4.269, I 60
d 1.980, I 55
d 2.719, I 46

Structure:
a = 6.4994 Å, b = 6.4994 Å, c = 6.8405 Å
α = 98.18°, β = 98.18°, γ = 95.54°
Fractional coordinates of all 20 atoms:
Ag 0.0853 0.9147 0.7500
Ag 0.9147 0.0853 0.2500
Pb 0.3674 0.6326 0.2500
Pb 0.6326 0.3674 0.7500
C 0.1244 0.4217 0.7707
C 0.4217 0.1244 0.2707
C 0.5783 0.8756 0.7293
C 0.8756 0.5783 0.2293
O 0.0092 0.5734 0.7496
O 0.0396 0.2381 0.6799
O 0.2381 0.0396 0.1799
O 0.3064 0.4541 0.8802
O 0.4266 0.9908 0.7504
O 0.4541 0.3064 0.3802
O 0.5459 0.6936 0.6198
O 0.5734 0.0092 0.2496
O 0.6936 0.5459 0.1198
O 0.7619 0.9604 0.8201
O 0.9604 0.7619 0.3201
O 0.9908 0.4266 0.2504